The following is a theoretical X-ray diffraction stick pattern of CaCo3P4O14. It was derived from a cell relaxed with PBE+U, using Cu Kα, 1.54184 Å.

The 6 most intense peaks (10 to 80 degrees two-theta), by angle:
2θ = 12.79°, d = 6.919 Å, intensity 31; 2θ = 28.62°, d = 3.119 Å, intensity 53; 2θ = 30.04°, d = 2.975 Å, intensity 100; 2θ = 33.21°, d = 2.698 Å, intensity 31; 2θ = 36.35°, d = 2.472 Å, intensity 33; 2θ = 36.65°, d = 2.452 Å, intensity 34

Atomic structure:
```
CaCo3P4O14
1.0
7.454 0.000 0.000
0.000 7.721 0.000
-3.545 0.000 8.846
Ca Co P O
2 6 8 28
Direct
0.000 0.000 0.000 Ca
0.000 0.500 0.500 Ca
0.314 0.127 0.475 Co
0.314 0.373 0.975 Co
0.500 0.000 0.000 Co
0.500 0.500 0.500 Co
0.686 0.627 0.025 Co
0.686 0.873 0.525 Co
0.098 0.065 0.704 P
0.098 0.435 0.204 P
0.380 0.704 0.191 P
0.380 0.796 0.691 P
0.620 0.204 0.309 P
0.620 0.296 0.809 P
0.902 0.565 0.796 P
0.902 0.935 0.296 P
0.106 0.523 0.805 O
0.106 0.977 0.305 O
0.120 0.192 0.588 O
0.120 0.308 0.088 O
0.175 0.622 0.175 O
0.175 0.878 0.675 O
0.224 0.118 0.869 O
0.224 0.382 0.369 O
0.330 0.623 0.607 O
0.330 0.877 0.107 O
0.471 0.578 0.112 O
0.471 0.922 0.612 O
0.492 0.712 0.363 O
0.492 0.788 0.863 O
0.508 0.212 0.137 O
0.508 0.288 0.637 O
0.529 0.078 0.388 O
0.529 0.422 0.888 O
0.670 0.123 0.893 O
0.670 0.377 0.393 O
0.776 0.618 0.631 O
0.776 0.882 0.131 O
0.825 0.122 0.325 O
0.825 0.378 0.825 O
0.880 0.692 0.912 O
0.880 0.808 0.412 O
0.894 0.023 0.695 O
0.894 0.477 0.195 O
```


The following is a theoretical X-ray diffraction stick pattern of LiMn2P2HO8. It was derived from a cell relaxed with PBE+U, using Cu Kα, 1.54184 Å.

The 6 most intense peaks (10 to 80 degrees two-theta), by angle:
2θ = 20.79°, d = 4.272 Å, intensity 46; 2θ = 23.72°, d = 3.750 Å, intensity 64; 2θ = 27.39°, d = 3.256 Å, intensity 100; 2θ = 27.88°, d = 3.201 Å, intensity 26; 2θ = 33.15°, d = 2.703 Å, intensity 47; 2θ = 49.44°, d = 1.843 Å, intensity 38

Atomic structure:
```
LiMn2P2HO8
1.0
5.077 0.000 0.000
0.000 8.715 0.000
-2.031 0.000 7.501
Li Mn P H O
2 4 4 2 16
Direct
0.242 0.000 0.255 Li
0.758 0.500 0.745 Li
0.127 0.339 0.087 Mn
0.364 0.663 0.424 Mn
0.636 0.163 0.576 Mn
0.873 0.839 0.913 Mn
0.124 0.366 0.474 P
0.385 0.639 0.023 P
0.615 0.139 0.977 P
0.876 0.866 0.526 P
0.270 0.015 0.755 H
0.730 0.515 0.245 H
0.003 0.958 0.706 O
0.094 0.838 0.425 O
0.157 0.530 0.927 O
0.237 0.214 0.414 O
0.264 0.788 0.078 O
0.361 0.466 0.581 O
0.395 0.165 0.076 O
0.477 0.056 0.786 O
0.523 0.556 0.214 O
0.605 0.665 0.924 O
0.639 0.966 0.419 O
0.736 0.288 0.922 O
0.763 0.714 0.586 O
0.843 0.030 0.073 O
0.906 0.338 0.575 O
0.997 0.458 0.294 O
```


The following is a theoretical X-ray diffraction stick pattern of La2FeSe2O2. It was derived from a cell relaxed with PBE+U, using Cu Kα, 1.54184 Å.

The 6 most intense peaks (10 to 80 degrees two-theta), by angle:
2θ = 27.87°, d = 3.201 Å, intensity 21; 2θ = 30.38°, d = 2.942 Å, intensity 46; 2θ = 31.41°, d = 2.848 Å, intensity 100; 2θ = 44.94°, d = 2.017 Å, intensity 21; 2θ = 54.63°, d = 1.680 Å, intensity 22; 2θ = 55.21°, d = 1.664 Å, intensity 20

Atomic structure:
```
La2FeSe2O2
1.0
17.652 0.000 0.000
0.000 16.534 0.000
0.000 0.000 4.034
La Fe Se O
16 8 16 16
Direct
0.084 0.177 0.000 La
0.088 0.672 0.493 La
0.090 0.477 0.994 La
0.090 0.982 0.501 La
0.410 0.482 0.001 La
0.410 0.977 0.494 La
0.412 0.172 0.993 La
0.416 0.677 0.500 La
0.584 0.323 0.000 La
0.588 0.828 0.493 La
0.590 0.023 0.994 La
0.590 0.518 0.501 La
0.910 0.018 0.001 La
0.910 0.523 0.494 La
0.912 0.328 0.993 La
0.916 0.823 0.500 La
0.223 0.838 0.995 Fe
0.248 0.116 0.494 Fe
0.252 0.616 0.994 Fe
0.277 0.338 0.495 Fe
0.723 0.662 0.995 Fe
0.748 0.384 0.494 Fe
0.752 0.884 0.994 Fe
0.777 0.162 0.495 Fe
0.061 0.327 0.499 Se
0.075 0.830 0.998 Se
0.248 0.246 0.997 Se
0.249 0.988 0.010 Se
0.251 0.488 0.510 Se
0.252 0.746 0.497 Se
0.425 0.330 0.498 Se
0.439 0.827 0.999 Se
0.561 0.173 0.499 Se
0.575 0.670 0.998 Se
0.748 0.254 0.997 Se
0.749 0.512 0.010 Se
0.751 0.012 0.510 Se
0.752 0.754 0.497 Se
0.925 0.170 0.498 Se
0.939 0.673 0.999 Se
0.044 0.042 0.002 O
0.047 0.538 0.494 O
0.136 0.122 0.500 O
0.140 0.617 0.993 O
0.360 0.117 0.493 O
0.364 0.622 0.000 O
0.453 0.038 0.994 O
0.456 0.542 0.502 O
0.544 0.458 0.002 O
0.547 0.962 0.494 O
0.636 0.378 0.500 O
0.640 0.883 0.993 O
0.860 0.383 0.493 O
0.864 0.878 0.000 O
0.953 0.462 0.994 O
0.956 0.958 0.502 O
```


The following is a theoretical X-ray diffraction stick pattern of FeCSO7. It was derived from a cell relaxed with PBE+U, using Cu Kα, 1.54184 Å.

The 6 most intense peaks (10 to 80 degrees two-theta), by angle:
2θ = 10.15°, d = 8.718 Å, intensity 100; 2θ = 17.05°, d = 5.200 Å, intensity 38; 2θ = 19.66°, d = 4.516 Å, intensity 44; 2θ = 20.36°, d = 4.362 Å, intensity 44; 2θ = 26.24°, d = 3.396 Å, intensity 31; 2θ = 27.53°, d = 3.240 Å, intensity 65

Atomic structure:
```
FeCSO7
1.0
5.159 0.000 0.000
0.000 6.479 0.000
-0.347 0.000 8.718
Fe C S O
2 2 2 14
Direct
0.206 0.250 0.337 Fe
0.794 0.750 0.663 Fe
0.265 0.250 0.062 C
0.735 0.750 0.938 C
0.284 0.750 0.426 S
0.716 0.250 0.574 S
0.039 0.250 0.122 O
0.135 0.750 0.568 O
0.223 0.566 0.332 O
0.223 0.934 0.332 O
0.296 0.250 0.921 O
0.434 0.250 0.527 O
0.459 0.250 0.163 O
0.541 0.750 0.837 O
0.566 0.750 0.473 O
0.704 0.750 0.079 O
0.777 0.066 0.668 O
0.777 0.434 0.668 O
0.865 0.250 0.432 O
0.961 0.750 0.878 O
```


The following is a theoretical X-ray diffraction stick pattern of KFeF3. It was derived from a cell relaxed with PBE+U, using Cu Kα, 1.54184 Å.

The 6 most intense peaks (10 to 80 degrees two-theta), by angle:
2θ = 21.33°, d = 4.165 Å, intensity 28; 2θ = 30.35°, d = 2.945 Å, intensity 100; 2θ = 43.45°, d = 2.083 Å, intensity 67; 2θ = 53.92°, d = 1.700 Å, intensity 36; 2θ = 63.13°, d = 1.473 Å, intensity 37; 2θ = 71.65°, d = 1.317 Å, intensity 15

Atomic structure:
```
KFeF3
1.0
4.165 0.000 0.000
0.000 4.165 0.000
0.000 0.000 4.165
K Fe F
1 1 3
Direct
0.000 0.000 0.000 K
0.500 0.500 0.500 Fe
0.000 0.500 0.500 F
0.500 0.000 0.500 F
0.500 0.500 0.000 F
```


The following is a theoretical X-ray diffraction stick pattern of KNaMnO2. It was derived from a cell relaxed with PBE+U, using Cu Kα, 1.54184 Å.

The 6 most intense peaks (10 to 80 degrees two-theta), by angle:
2θ = 18.10°, d = 4.902 Å, intensity 71; 2θ = 31.23°, d = 2.864 Å, intensity 100; 2θ = 31.65°, d = 2.827 Å, intensity 29; 2θ = 32.43°, d = 2.761 Å, intensity 74; 2θ = 36.63°, d = 2.453 Å, intensity 40; 2θ = 41.82°, d = 2.160 Å, intensity 58

Atomic structure:
```
KNaMnO2
1.0
4.726 -4.906 0.000
4.726 4.906 0.000
0.000 0.000 7.056
K Na Mn O
4 4 4 8
Direct
0.000 0.000 0.250 K
0.000 0.000 0.750 K
0.000 0.500 0.000 K
0.500 0.000 0.500 K
0.350 0.350 0.250 Na
0.350 0.350 0.750 Na
0.650 0.650 0.250 Na
0.650 0.650 0.750 Na
0.161 0.625 0.500 Mn
0.375 0.839 0.000 Mn
0.625 0.161 0.000 Mn
0.839 0.375 0.500 Mn
0.136 0.307 0.500 O
0.303 0.697 0.250 O
0.303 0.697 0.750 O
0.307 0.136 0.000 O
0.693 0.864 0.000 O
0.697 0.303 0.250 O
0.697 0.303 0.750 O
0.864 0.693 0.500 O
```


The following is a theoretical X-ray diffraction stick pattern of Na2FeNiF7. It was derived from a cell relaxed with PBE+U, using Cu Kα, 1.54184 Å.

The 6 most intense peaks (10 to 80 degrees two-theta), by angle:
2θ = 14.48°, d = 6.116 Å, intensity 60; 2θ = 16.90°, d = 5.246 Å, intensity 36; 2θ = 29.21°, d = 3.058 Å, intensity 100; 2θ = 29.91°, d = 2.988 Å, intensity 86; 2θ = 49.29°, d = 1.849 Å, intensity 82; 2θ = 57.76°, d = 1.596 Å, intensity 36

Atomic structure:
```
Na2FeNiF7
1.0
-3.647 5.211 3.776
3.647 -5.211 3.776
3.647 5.211 -3.776
Na Fe Ni F
4 2 2 14
Direct
0.000 0.000 0.000 Na
0.500 0.000 0.000 Na
0.500 0.000 0.500 Na
0.500 0.500 0.500 Na
0.000 0.500 0.500 Fe
0.500 0.500 0.000 Fe
0.000 0.000 0.500 Ni
0.000 0.500 0.000 Ni
0.053 0.237 0.416 F
0.053 0.637 0.816 F
0.103 0.853 0.250 F
0.321 0.237 0.684 F
0.321 0.637 0.084 F
0.321 0.730 0.591 F
0.361 0.270 0.091 F
0.639 0.730 0.909 F
0.679 0.270 0.409 F
0.679 0.363 0.916 F
0.679 0.763 0.316 F
0.897 0.147 0.750 F
0.947 0.363 0.184 F
0.947 0.763 0.584 F
```